[1]
# SrAgSO
Simulated X-ray diffraction stick pattern, λ = 1.5418 Å (Cu Kα). Input: a PBE-relaxed structure.

Structure:
```
8
Lattice="1.9906 -7.0654 0.0000 1.9906 7.0654 0.0000 0.0000 0.0000 6.0708" Properties=species:S:1:pos:R:3 pbc="T T T"
Sr 1.9906 4.9813 3.0354
Sr 1.9906 -4.9813 0.0000
Ag 1.9906 1.1563 2.7630
Ag 1.9906 -1.1563 5.7985
S 1.9906 4.4928 0.0237
S 1.9906 -4.4928 3.0591
O 1.9906 0.8664 0.4716
O 1.9906 -0.8664 3.5070
```

Most intense lines, 15° ≤ 2θ ≤ 90°, in order of falling intensity:
29.41 deg, I = 100
32.95 deg, I = 69
27.53 deg, I = 44
39.11 deg, I = 33
25.21 deg, I = 30
42.06 deg, I = 25
29.25 deg, I = 24
45.57 deg, I = 21
55.18 deg, I = 20
59.71 deg, I = 19
50.70 deg, I = 19
54.47 deg, I = 17

[2]
# Ag4TeSO4
Simulated X-ray diffraction stick pattern, λ = 1.5418 Å (Cu Kα). Input: a PBE-relaxed structure.

Structure:
```
40
Lattice="8.7513 0.0000 0.0000 0.0000 8.7513 0.0000 0.0000 0.0000 8.7513" Properties=species:S:1:pos:R:3 pbc="T T T"
Ag 0.0553 4.3204 4.4310
Ag 0.2430 0.8259 2.5906
Ag 0.8259 2.5906 0.2430
Ag 1.7850 8.5084 5.2016
Ag 2.5906 0.2430 0.8259
Ag 3.5498 6.1607 4.6186
Ag 4.1327 7.9254 6.9663
Ag 4.3204 4.4310 0.0553
Ag 4.4310 0.0553 4.3204
Ag 4.6186 3.5498 6.1607
Ag 5.2016 1.7850 8.5084
Ag 6.1607 4.6186 3.5498
Ag 6.9663 4.1327 7.9254
Ag 7.9254 6.9663 4.1327
Ag 8.5084 5.2016 1.7850
Ag 8.6960 8.6960 8.6960
Te 1.6086 7.1427 2.7670
Te 2.7670 1.6086 7.1427
Te 5.9843 5.9843 5.9843
Te 7.1427 2.7670 1.6086
S 1.1215 5.4971 7.6299
S 3.2542 3.2542 3.2542
S 5.4971 7.6299 1.1215
S 7.6299 1.1215 5.4971
O 0.1243 6.3235 8.3969
O 0.3545 4.4999 6.8035
O 1.9479 4.7302 8.6271
O 1.9712 6.3468 6.7802
O 2.4045 2.4045 2.4045
O 2.4278 4.0212 4.2514
O 4.0212 4.2514 2.4278
O 4.2514 2.4278 4.0212
O 4.4999 6.8035 0.3545
O 4.7302 8.6271 1.9479
O 6.3235 8.3969 0.1243
O 6.3468 6.7802 1.9712
O 6.7802 1.9712 6.3468
O 6.8035 0.3545 4.4999
O 8.3969 0.1243 6.3235
O 8.6271 1.9479 4.7302
```

Most intense lines, 15° ≤ 2θ ≤ 90°, in order of falling intensity:
33.98 deg, I = 100
30.65 deg, I = 93
42.60 deg, I = 89
38.49 deg, I = 73
37.04 deg, I = 33
46.40 deg, I = 29
53.38 deg, I = 24
72.45 deg, I = 23
51.13 deg, I = 22
24.92 deg, I = 20
62.82 deg, I = 20
85.16 deg, I = 20

[3]
# YAgSO
Simulated X-ray diffraction stick pattern, λ = 1.5418 Å (Cu Kα). Input: a PBE-relaxed structure.

Structure:
```
16
Lattice="5.6599 0.0000 0.0000 0.0000 5.6602 0.0000 -0.3166 0.0000 10.8024" Properties=species:S:1:pos:R:3 pbc="T T T"
Y -0.0089 0.0000 1.0635
Y 2.5158 0.0046 9.7281
Y 2.8275 2.8347 1.0744
Y 5.3522 2.8301 9.7389
Ag 0.9129 1.5413 5.3704
Ag 2.7327 0.1008 3.2095
Ag 2.6106 2.9309 7.5929
Ag 4.4304 4.3714 5.4320
S 1.0555 1.7446 3.0197
S 0.9384 1.2855 7.7225
S 4.4048 4.1156 3.0799
S 4.2878 4.5747 7.7827
O 1.4133 4.2431 0.0022
O 1.1135 1.4084 10.7967
O 4.2298 4.2386 0.0057
O 3.9300 1.4130 10.8002
```

Most intense lines, 15° ≤ 2θ ≤ 90°, in order of falling intensity:
27.46 deg, I = 100
28.03 deg, I = 87
45.33 deg, I = 82
22.22 deg, I = 80
33.13 deg, I = 67
33.83 deg, I = 66
41.81 deg, I = 47
32.71 deg, I = 43
23.87 deg, I = 38
35.46 deg, I = 38
17.69 deg, I = 38
46.48 deg, I = 29

[4]
# Ag3SbO4
Simulated X-ray diffraction stick pattern, λ = 1.5418 Å (Cu Kα). Input: a PBE-relaxed structure.

Structure:
```
32
Lattice="7.1039 0.0000 0.0000 0.0000 7.1039 0.0000 0.0000 0.0000 8.8508" Properties=species:S:1:pos:R:3 pbc="T T T"
Ag 0.0000 1.3155 0.0000
Ag 0.0000 1.7864 4.4254
Ag 0.0000 5.3175 0.0000
Ag 0.0000 5.7885 4.4254
Ag 1.3155 0.0000 6.6381
Ag 1.4559 3.5520 2.2127
Ag 1.7864 0.0000 2.2127
Ag 3.5520 1.4559 4.4254
Ag 3.5520 5.6481 0.0000
Ag 5.3175 0.0000 6.6381
Ag 5.6481 3.5520 6.6381
Ag 5.7885 0.0000 2.2127
Sb 1.9727 3.5520 6.6381
Sb 3.5520 1.9727 0.0000
Sb 3.5520 5.1313 4.4254
Sb 5.1313 3.5520 2.2127
O 0.5712 2.1535 6.5034
O 0.5712 4.9505 6.7728
O 2.1403 3.4509 8.6710
O 2.1403 3.6530 4.6051
O 2.1535 0.5712 0.1347
O 2.1535 6.5327 4.2907
O 3.4509 2.1403 6.8178
O 3.4509 4.9637 6.4583
O 3.6530 2.1403 2.0329
O 3.6530 4.9637 2.3924
O 4.9505 0.5712 8.7161
O 4.9505 6.5327 4.5601
O 4.9637 3.4509 0.1798
O 4.9637 3.6530 4.2456
O 6.5327 2.1535 2.3474
O 6.5327 4.9505 2.0780
```

Most intense lines, 15° ≤ 2θ ≤ 90°, in order of falling intensity:
32.32 deg, I = 100
35.75 deg, I = 51
55.33 deg, I = 27
40.78 deg, I = 24
62.08 deg, I = 20
29.88 deg, I = 14
51.45 deg, I = 12
68.93 deg, I = 12
67.64 deg, I = 10
54.24 deg, I = 7
47.26 deg, I = 5
41.78 deg, I = 5

[5]
# AgSbO3
Simulated X-ray diffraction stick pattern, λ = 1.5418 Å (Cu Kα). Input: a PBE-relaxed structure.

Structure:
```
10
Lattice="2.7749 1.6021 4.5152 -2.7749 1.6021 4.5152 0.0000 -3.2042 4.5152" Properties=species:S:1:pos:R:3 pbc="T T T"
Ag 0.0000 0.0000 3.3864
Ag 0.0000 0.0000 10.1591
Sb 0.0000 0.0000 0.0000
Sb 0.0000 0.0000 6.7727
O -1.6299 0.3811 5.6439
O -1.1450 -1.2210 7.9015
O 0.4849 -1.6021 5.6439
O -0.4849 1.6021 7.9015
O 1.1450 1.2210 5.6440
O 1.6299 -0.3811 7.9015
```

Most intense lines, 15° ≤ 2θ ≤ 90°, in order of falling intensity:
32.30 deg, I = 100
57.56 deg, I = 33
46.33 deg, I = 26
57.73 deg, I = 10
76.98 deg, I = 9
67.69 deg, I = 8
76.85 deg, I = 8
67.51 deg, I = 7
85.81 deg, I = 3
86.15 deg, I = 1
38.06 deg, I = 1
22.69 deg, I = 1

[6]
# Ag3SbO4
Simulated X-ray diffraction stick pattern, λ = 1.5418 Å (Cu Kα). Input: a PBE-relaxed structure.

Structure:
```
16
Lattice="6.2420 0.0000 0.0000 0.0000 6.2420 0.0000 0.0000 0.0000 6.2420" Properties=species:S:1:pos:R:3 pbc="T T T"
Ag 0.0000 1.5605 3.1210
Ag 0.0000 4.6815 3.1210
Ag 1.5605 3.1210 0.0000
Ag 3.1210 0.0000 1.5605
Ag 3.1210 0.0000 4.6815
Ag 4.6815 3.1210 0.0000
Sb 0.0000 0.0000 0.0000
Sb 3.1210 3.1210 3.1210
O 1.1114 1.1114 5.1306
O 1.1114 5.1306 1.1114
O 2.0096 2.0096 2.0096
O 2.0096 4.2324 4.2324
O 4.2324 2.0096 4.2324
O 4.2324 4.2324 2.0096
O 5.1306 1.1114 1.1114
O 5.1306 5.1306 5.1306
```

Most intense lines, 15° ≤ 2θ ≤ 90°, in order of falling intensity:
32.06 deg, I = 100
35.22 deg, I = 80
55.05 deg, I = 50
28.60 deg, I = 24
52.89 deg, I = 23
68.94 deg, I = 20
83.38 deg, I = 18
59.21 deg, I = 16
67.05 deg, I = 13
85.14 deg, I = 12
88.64 deg, I = 11
50.66 deg, I = 9